[1]
The following is a theoretical XRD peak list of CdBiS2I. It was derived from DFT lattice parameters and positions (PBE), using copper Kα.
No peak broadening, texture or thermal motion is included.

Cell and atoms:
a = 7.8826 Å, b = 4.2562 Å, c = 11.1086 Å
α = 90.00°, β = 108.07°, γ = 90.00°
Space group P2_1/m (No. 11)
Inequivalent atoms, fractional coordinates:
Cd 0.0065 0.2500 0.1400 [2 per cell]
Bi 0.4664 0.7500 0.3355 [2 per cell]
S 0.1698 0.7500 0.1149 [2 per cell]
S 0.3073 0.2500 0.4074 [2 per cell]
I 0.2401 0.7500 0.7185 [2 per cell]

Peak list (10 most intense, 15 to 90 degrees two-theta, in order of falling intensity)
2theta, d [Å], intensity, index
32.40, 2.763, 100, 2 1 -2
16.49, 5.375, 91, 1 0 1
24.23, 3.673, 80, 1 1 -1
31.24, 2.863, 74, 1 0 3
16.79, 5.280, 70, 0 0 2
26.72, 3.337, 62, 1 1 1
46.11, 1.969, 50, 1 1 -5
27.22, 3.276, 44, 1 1 -2
42.48, 2.128, 37, 0 2 0
39.66, 2.272, 37, 2 1 2

***

[2]
The following is a theoretical XRD peak list of Li3In2Hg5. It was derived from DFT lattice parameters and positions (PBE), using copper Kα.
No peak broadening, texture or thermal motion is included.

Cell and atoms:
a = 10.2442 Å, b = 13.5393 Å, c = 6.4793 Å
α = 90.00°, β = 98.91°, γ = 90.00°
Space group C2/c (No. 15)
Inequivalent atoms, fractional coordinates:
Li 0.0000 0.0292 0.2500 [4 per cell]
Li 0.1443 0.3606 0.5959 [8 per cell]
In 0.1334 0.2671 0.1380 [8 per cell]
Hg 0.0000 0.4764 0.2500 [4 per cell]
Hg 0.1066 0.1555 0.5870 [8 per cell]
Hg 0.2227 0.0490 0.0373 [8 per cell]

Peak list (10 most intense, 15 to 90 degrees two-theta, in order of falling intensity)
2theta, d [Å], intensity, index
37.67, 2.388, 100, 1 5 1
33.45, 2.679, 67, 2 2 -2
28.69, 3.111, 65, 1 1 -2
35.43, 2.534, 60, 2 0 2
37.96, 2.370, 52, 4 2 0
21.56, 4.122, 46, 1 3 0
34.39, 2.608, 39, 3 3 -1
27.24, 3.273, 36, 3 1 0
33.68, 2.661, 35, 2 4 -1
27.47, 3.247, 29, 2 2 1

***

[3]
The following is a theoretical XRD peak list of Ce3CoBr3. It was derived from DFT lattice parameters and positions (PBE), using copper Kα.
No peak broadening, texture or thermal motion is included.

Cell and atoms:
a = 8.6721 Å, b = 4.2195 Å, c = 11.3453 Å
α = 90.00°, β = 91.90°, γ = 90.00°
Space group P2_1/m (No. 11)
Inequivalent atoms, fractional coordinates:
Ce 0.1015 0.2500 0.4009 [2 per cell]
Ce 0.1216 0.2500 0.8340 [2 per cell]
Ce 0.3451 0.7500 0.6138 [2 per cell]
Co 0.1233 0.2500 0.6219 [2 per cell]
Br 0.1250 0.2500 0.1185 [2 per cell]
Br 0.3662 0.7500 0.8797 [2 per cell]
Br 0.3811 0.7500 0.3468 [2 per cell]

Peak list (10 most intense, 15 to 90 degrees two-theta, in order of falling intensity)
2theta, d [Å], intensity, index
29.55, 3.023, 100, 2 1 0
31.56, 2.835, 30, 0 0 4
44.31, 2.044, 26, 2 1 4
43.24, 2.092, 23, 2 1 -4
42.87, 2.110, 19, 0 2 0
61.32, 1.512, 17, 4 2 0
41.68, 2.167, 17, 4 0 0
31.78, 2.816, 17, 0 1 3
54.20, 1.692, 13, 0 2 4
30.84, 2.899, 10, 2 0 -3

***

[4]
The following is a theoretical XRD peak list of Pa3FeSe2. It was derived from DFT lattice parameters and positions (PBE), using copper Kα.
No peak broadening, texture or thermal motion is included.

Cell and atoms:
a = 4.0868 Å, b = 4.0868 Å, c = 16.3392 Å
α = 90.00°, β = 90.00°, γ = 90.00°
Space group I4/mmm (No. 139)
Inequivalent atoms, fractional coordinates:
Pa 0.0000 0.0000 0.0000 [2 per cell]
Pa 0.0000 0.0000 0.3530 [4 per cell]
Fe 0.0000 0.0000 0.5000 [2 per cell]
Se 0.0000 0.0000 0.1759 [4 per cell]

Peak list (10 most intense, 15 to 90 degrees two-theta, in order of falling intensity)
2theta, d [Å], intensity, index
30.94, 2.890, 100, 1 1 0
27.28, 3.269, 62, 1 0 3
45.78, 1.982, 51, 1 1 6
44.33, 2.043, 41, 2 0 0
32.89, 2.723, 32, 0 0 6
56.29, 1.634, 28, 2 0 6
52.84, 1.733, 22, 2 1 3
82.65, 1.168, 20, 3 1 6
35.16, 2.552, 19, 1 0 5
73.24, 1.292, 17, 3 1 0

***

[5]
The following is a theoretical XRD peak list of Dy4ThSc2. It was derived from DFT lattice parameters and positions (PBE), using copper Kα.
No peak broadening, texture or thermal motion is included.

Cell and atoms:
a = 5.5078 Å, b = 5.5078 Å, c = 23.6503 Å
α = 90.00°, β = 90.00°, γ = 120.00°
Space group R-3m (No. 166, hexagonal axes)
Inequivalent atoms, fractional coordinates:
Dy 0.0000 0.0000 0.0762 [6 per cell]
Dy 0.0000 0.0000 0.2288 [6 per cell]
Th 0.0000 0.0000 0.5000 [3 per cell]
Sc 0.0000 0.0000 0.3625 [6 per cell]

Peak list (10 most intense, 15 to 90 degrees two-theta, in order of falling intensity)
2theta, d [Å], intensity, index
32.50, 2.755, 100, 1 1 0
57.98, 1.591, 33, 3 0 0
46.62, 1.948, 17, 0 2 7
77.46, 1.232, 12, 1 3 7
23.97, 3.712, 12, 1 0 4
68.06, 1.377, 10, 2 2 0
34.50, 2.600, 5, 1 1 3
26.54, 3.359, 5, 0 1 5
39.94, 2.258, 5, 1 1 6
57.50, 1.603, 5, 1 1 12

***

[6]
The following is a theoretical XRD peak list of RbNa2CdO2. It was derived from DFT lattice parameters and positions (PBE), using copper Kα.
No peak broadening, texture or thermal motion is included.

Cell and atoms:
a = 5.9473 Å, b = 10.8700 Å, c = 4.0030 Å
α = 90.00°, β = 90.00°, γ = 90.00°
Space group Pnnm (No. 58)
Inequivalent atoms, fractional coordinates:
Rb 0.0000 0.0000 0.0000 [2 per cell]
Na 0.0757 0.2693 0.5000 [4 per cell]
Cd 0.0000 0.5000 0.0000 [2 per cell]
O 0.2353 0.3500 0.0000 [4 per cell]

Peak list (10 most intense, 15 to 90 degrees two-theta, in order of falling intensity)
2theta, d [Å], intensity, index
31.57, 2.834, 100, 1 2 1
16.31, 5.435, 42, 0 2 0
26.85, 3.321, 33, 1 0 1
58.03, 1.589, 25, 1 6 1
34.38, 2.609, 23, 2 2 0
45.20, 2.006, 19, 2 4 0
30.05, 2.974, 19, 2 0 0
43.01, 2.103, 18, 1 4 1
32.96, 2.718, 18, 0 4 0
54.33, 1.689, 15, 3 2 1

***

[7]
The following is a theoretical XRD peak list of Be2Cd. It was derived from DFT lattice parameters and positions (PBE), using copper Kα.
No peak broadening, texture or thermal motion is included.

Cell and atoms:
a = 2.8094 Å, b = 13.7788 Å, c = 3.9874 Å
α = 90.00°, β = 90.00°, γ = 90.00°
Space group Cmcm (No. 63)
Inequivalent atoms, fractional coordinates:
Be 0.0000 0.0517 0.2500 [4 per cell]
Be 0.0000 0.2742 0.7500 [4 per cell]
Cd 0.0000 0.3871 0.2500 [4 per cell]

Peak list (10 most intense, 15 to 90 degrees two-theta, in order of falling intensity)
2theta, d [Å], intensity, index
25.83, 3.449, 100, 0 2 1
44.09, 2.054, 32, 1 3 1
45.55, 1.991, 26, 0 0 2
32.53, 2.753, 22, 1 1 0
39.79, 2.265, 19, 1 1 1
46.14, 1.967, 12, 1 5 0
62.10, 1.495, 10, 1 7 1
72.68, 1.301, 10, 2 2 1
37.53, 2.397, 10, 1 3 0
84.38, 1.148, 9, 2 0 2

***

[8]
The following is a theoretical XRD peak list of TbErPa2Rh4. It was derived from DFT lattice parameters and positions (PBE), using copper Kα.
No peak broadening, texture or thermal motion is included.

Cell and atoms:
a = 7.6446 Å, b = 10.8831 Å, c = 8.3199 Å
α = 90.00°, β = 90.00°, γ = 90.00°
Space group Fmm2 (No. 42)
Inequivalent atoms, fractional coordinates:
Tb 0.0000 0.0000 0.0000 [4 per cell]
Er 0.0000 0.0000 0.4160 [4 per cell]
Pa 0.2500 0.2500 0.2709 [8 per cell]
Rh 0.0000 0.2350 0.5300 [8 per cell]
Rh 0.1960 0.0000 0.7138 [8 per cell]

Peak list (10 most intense, 15 to 90 degrees two-theta, in order of falling intensity)
2theta, d [Å], intensity, index
31.79, 2.815, 100, 2 0 2
46.42, 1.956, 69, 2 4 2
32.92, 2.721, 61, 0 4 0
35.92, 2.500, 31, 2 2 2
28.54, 3.128, 20, 2 2 0
55.59, 1.653, 19, 0 4 4
46.76, 1.943, 19, 0 2 4
59.07, 1.564, 17, 4 4 0
47.58, 1.911, 17, 4 0 0
78.01, 1.225, 14, 2 8 2

***

[9]
The following is a theoretical XRD peak list of Tb2CuS3. It was derived from DFT lattice parameters and positions (PBE), using copper Kα.
No peak broadening, texture or thermal motion is included.

Cell and atoms:
a = 3.6783 Å, b = 4.2523 Å, c = 15.4276 Å
α = 90.00°, β = 90.00°, γ = 90.00°
Space group Immm (No. 71)
Inequivalent atoms, fractional coordinates:
Tb 0.0000 0.0000 0.1401 [4 per cell]
Cu 0.0000 0.0000 0.5000 [2 per cell]
S 0.0000 0.0000 0.3225 [4 per cell]
S 0.0000 0.5000 0.5000 [2 per cell]

Peak list (10 most intense, 15 to 90 degrees two-theta, in order of falling intensity)
2theta, d [Å], intensity, index
32.18, 2.782, 100, 1 1 0
29.86, 2.992, 68, 1 0 3
27.21, 3.277, 52, 0 1 3
39.96, 2.256, 47, 1 1 4
48.18, 1.889, 34, 1 1 6
42.52, 2.126, 31, 0 2 0
21.68, 4.099, 28, 0 1 1
52.82, 1.733, 28, 1 2 3
23.06, 3.857, 28, 0 0 4
34.89, 2.571, 25, 0 0 6

***

[10]
The following is a theoretical XRD peak list of ThSc2CoPt. It was derived from DFT lattice parameters and positions (PBE), using copper Kα.
No peak broadening, texture or thermal motion is included.

Cell and atoms:
a = 4.6980 Å, b = 4.6980 Å, c = 5.4109 Å
α = 90.00°, β = 90.00°, γ = 90.00°
Space group P4mm (No. 99)
Inequivalent atoms, fractional coordinates:
Th 0.0000 0.0000 0.0000 [1 per cell]
Sc 0.0000 0.5000 0.4491 [2 per cell]
Co 0.0000 0.0000 0.5335 [1 per cell]
Pt 0.5000 0.5000 0.1439 [1 per cell]

Peak list (10 most intense, 15 to 90 degrees two-theta, in order of falling intensity)
2theta, d [Å], intensity, index
38.35, 2.347, 100, 2 0 0
31.60, 2.831, 84, 1 1 1
26.84, 3.322, 65, 1 1 0
55.34, 1.660, 50, 2 2 0
16.38, 5.411, 43, 0 0 1
25.10, 3.547, 29, 1 0 1
43.12, 2.098, 26, 1 1 2
65.11, 1.433, 22, 3 1 1
41.93, 2.155, 18, 2 0 1
68.57, 1.369, 18, 2 1 3

***

[11]
The following is a theoretical XRD peak list of ZrSb2Os. It was derived from DFT lattice parameters and positions (PBE), using copper Kα.
No peak broadening, texture or thermal motion is included.

Cell and atoms:
a = 3.1949 Å, b = 3.1949 Å, c = 8.8931 Å
α = 90.00°, β = 90.00°, γ = 90.00°
Space group P4mm (No. 99)
Inequivalent atoms, fractional coordinates:
Zr 0.0000 0.0000 0.0000 [1 per cell]
Sb 0.0000 0.0000 0.3824 [1 per cell]
Sb 0.5000 0.5000 0.7440 [1 per cell]
Os 0.5000 0.5000 0.1929 [1 per cell]

Peak list (10 most intense, 15 to 90 degrees two-theta, in order of falling intensity)
2theta, d [Å], intensity, index
34.57, 2.595, 100, 1 0 2
39.91, 2.259, 46, 1 1 0
41.56, 2.173, 32, 1 0 3
69.05, 1.360, 26, 2 1 2
57.71, 1.597, 16, 2 0 0
66.96, 1.397, 13, 1 1 5
19.97, 4.447, 12, 0 0 2
73.59, 1.287, 12, 2 1 3
49.98, 1.825, 11, 1 0 4
80.88, 1.188, 8, 2 0 5

***

[12]
The following is a theoretical XRD peak list of Rb3U3CdTe8. It was derived from DFT lattice parameters and positions (PBE), using copper Kα.
No peak broadening, texture or thermal motion is included.

Cell and atoms:
a = 15.6768 Å, b = 8.9314 Å, c = 10.1654 Å
α = 90.00°, β = 121.20°, γ = 90.00°
Space group C2/m (No. 12)
Inequivalent atoms, fractional coordinates:
Rb 0.0000 0.0000 0.0000 [2 per cell]
Rb 0.2500 0.2500 0.0000 [4 per cell]
U 0.0000 0.5000 0.5000 [2 per cell]
U 0.2500 0.2500 0.5000 [4 per cell]
Cd 0.0000 0.0000 0.5000 [2 per cell]
Te 0.0186 0.2489 0.3052 [8 per cell]
Te 0.2343 0.5000 0.7020 [4 per cell]
Te 0.2428 0.0000 0.7013 [4 per cell]

Peak list (10 most intense, 15 to 90 degrees two-theta, in order of falling intensity)
2theta, d [Å], intensity, index
26.71, 3.338, 100, 2 2 -2
26.59, 3.352, 52, 4 0 0
39.98, 2.255, 37, 6 2 -2
36.02, 2.493, 36, 2 2 2
33.28, 2.692, 34, 2 2 -3
49.02, 1.858, 20, 4 4 0
40.40, 2.233, 19, 0 4 0
35.74, 2.512, 17, 4 0 -4
44.84, 2.021, 14, 2 2 3
41.73, 2.165, 10, 0 4 1

***

[13]
The following is a theoretical XRD peak list of Pr2TeBr2. It was derived from DFT lattice parameters and positions (PBE), using copper Kα.
No peak broadening, texture or thermal motion is included.

Cell and atoms:
a = 7.6195 Å, b = 4.3961 Å, c = 10.8692 Å
α = 90.00°, β = 90.52°, γ = 90.00°
Space group C2/m (No. 12)
Inequivalent atoms, fractional coordinates:
Pr 0.1690 0.0000 0.1657 [4 per cell]
Te 0.0000 0.5000 0.0000 [2 per cell]
Br 0.1622 0.0000 0.6708 [4 per cell]

Peak list (10 most intense, 15 to 90 degrees two-theta, in order of falling intensity)
2theta, d [Å], intensity, index
28.69, 3.112, 100, 1 1 2
41.05, 2.199, 56, 0 2 0
28.49, 3.133, 53, 2 0 -2
40.70, 2.217, 39, 1 1 -4
40.97, 2.203, 20, 2 0 4
50.74, 1.799, 20, 2 2 -2
67.38, 1.390, 17, 4 2 2
24.81, 3.588, 15, 1 1 1
59.40, 1.556, 12, 2 2 4
50.94, 1.793, 10, 4 0 2

***

[14]
The following is a theoretical XRD peak list of ZnHg3H. It was derived from DFT lattice parameters and positions (PBE), using copper Kα.
No peak broadening, texture or thermal motion is included.

Cell and atoms:
a = 6.5013 Å, b = 6.5474 Å, c = 12.7985 Å
α = 90.00°, β = 106.14°, γ = 90.00°
Space group P2/c (No. 13)
Inequivalent atoms, fractional coordinates:
Zn 0.0011 0.2498 0.0917 [4 per cell]
Hg 0.3039 0.2489 0.2953 [4 per cell]
Hg 0.3140 0.0108 0.5539 [4 per cell]
Hg 0.3137 0.4903 0.5534 [4 per cell]
H 0.0166 0.2509 0.7241 [4 per cell]

Peak list (10 most intense, 15 to 90 degrees two-theta, in order of falling intensity)
2theta, d [Å], intensity, index
35.94, 2.499, 100, 1 0 4
15.33, 5.779, 76, 0 1 1
30.95, 2.890, 61, 0 2 2
39.63, 2.274, 60, 2 2 -2
28.58, 3.123, 57, 1 0 -4
34.80, 2.578, 36, 2 0 -4
51.16, 1.785, 33, 1 2 -6
43.47, 2.082, 23, 3 0 0
32.32, 2.770, 22, 1 1 3
33.78, 2.654, 18, 2 1 -3